Diffraction record for BaSr2Li. The XRD peak list is simulated, not measured: it uses a DFT-relaxed cell (GGA-PBE, Alexandria) and Cu Kα (weighted mean of Kα1 and Kα2).
Kinematic intensities with the Lorentz-polarization factor, no thermal factor.

Principal peaks in the range 10° ≤ 2θ ≤ 90°, low angle first:
2θ 13.7, intensity 20
2θ 20.6, intensity 24
2θ 25.9, intensity 100
2θ 26.9, intensity 23
2θ 27.6, intensity 21
2θ 30.6, intensity 59
2θ 42.6, intensity 27
2θ 51.6, intensity 22

Cell and atoms:
```
data_BaSr2Li
_chemical_formula_sum 'Ba1 Sr2 Li1'
_cell_length_a 13.1425
_cell_length_b 13.1425
_cell_length_c 13.1425
_cell_angle_alpha 18.57
_cell_angle_beta 18.57
_cell_angle_gamma 18.57
_symmetry_space_group_name_H-M 'P 1'
_symmetry_Int_Tables_number 1
_symmetry_space_group_name_Hall 'P 1'
loop_
_atom_site_label
_atom_site_fract_x
_atom_site_fract_y
_atom_site_fract_z
Ba1 0.0000 0.0000 0.0000
Sr1 0.2392 0.2392 0.2392
Sr2 0.4816 0.4816 0.4816
Li1 0.7420 0.7420 0.7420
```

=====

Diffraction record for InHg2Se2S. The XRD peak list is simulated, not measured: it uses a DFT-relaxed cell (GGA-PBE, Alexandria) and Cu Kα (weighted mean of Kα1 and Kα2).
Kinematic intensities with the Lorentz-polarization factor, no thermal factor.

Principal peaks in the range 10° ≤ 2θ ≤ 90°, low angle first:
2θ 22.7, intensity 85
2θ 25.8, intensity 60
2θ 26.1, intensity 100
2θ 34.6, intensity 42
2θ 39.8, intensity 52
2θ 45.6, intensity 57
2θ 48.0, intensity 44
2θ 72.4, intensity 28

Cell and atoms:
```
data_InHg2Se2S
_chemical_formula_sum 'In2 Hg4 Se4 S2'
_cell_length_a 7.8310
_cell_length_b 7.8310
_cell_length_c 6.9194
_cell_angle_alpha 90.00
_cell_angle_beta 90.00
_cell_angle_gamma 60.21
_symmetry_space_group_name_H-M 'P 1'
_symmetry_Int_Tables_number 1
_symmetry_space_group_name_Hall 'P 1'
loop_
_atom_site_label
_atom_site_fract_x
_atom_site_fract_y
_atom_site_fract_z
In1 0.1578 0.8422 0.5000
In2 0.8422 0.1578 0.0000
Hg1 0.1706 0.5045 0.9881
Hg2 0.4955 0.8294 0.9881
Hg3 0.5045 0.1706 0.4881
Hg4 0.8294 0.4955 0.4881
Se1 0.1641 0.5121 0.3947
Se2 0.4879 0.8359 0.3947
Se3 0.5121 0.1641 0.8947
Se4 0.8359 0.4879 0.8947
S1 0.1509 0.8491 0.8758
S2 0.8491 0.1509 0.3758
```